No. 1
Simulated X-ray diffraction stick pattern
Compound: K11AuO5
Radiation: Cu Kα, 1.54184 Å
Structure: DFT lattice parameters and positions (PBE)

Largest 10 diffraction maxima, sorted by position, 2θ from 10° to 90°:
2theta, I (rel.)
11.43, 100.0
12.65, 42.1
18.86, 48.9
23.03, 50.1
24.94, 55.6
27.72, 44.4
28.33, 54.3
29.43, 47.7
33.68, 97.2
39.80, 39.5

Crystal structure
```
data_K11AuO5
_space_group_name_H-M_alt 'C 1 2/m 1'
_space_group_IT_number 12
_cell_length_a 10.3722
_cell_length_b 12.7202
_cell_length_c 7.4407
_cell_angle_alpha 90.00
_cell_angle_beta 109.90
_cell_angle_gamma 90.00
loop_
_space_group_symop_operation_xyz
'x,y,z'
'-x,-y,-z'
'-x,y,-z'
'x,-y,z'
'x+1/2,y+1/2,z'
'-x+1/2,-y+1/2,-z'
'-x+1/2,y+1/2,-z'
'x+1/2,-y+1/2,z'
loop_
_atom_site_label
_atom_site_fract_x
_atom_site_fract_y
_atom_site_fract_z
K1 0.0000 0.0000 0.0000
K2 0.0879 0.2241 0.8368
K3 0.1784 0.5000 0.8247
K4 0.1945 0.3666 0.4491
Au1 0.0000 0.0000 0.5000
O1 0.0000 0.5000 0.5000
O2 0.1832 0.1828 0.1992
```

---

No. 2
Simulated X-ray diffraction stick pattern
Compound: KAu2O
Radiation: Cu Kα, 1.54184 Å
Structure: DFT lattice parameters and positions (PBE)

Largest 10 diffraction maxima, sorted by position, 2θ from 10° to 90°:
2theta, I (rel.)
17.07, 100.0
24.95, 59.5
25.65, 33.8
34.54, 89.0
36.08, 23.3
36.46, 45.4
40.97, 23.6
51.19, 29.6
53.26, 33.6
77.45, 20.7

Crystal structure
```
data_KAu2O
_space_group_name_H-M_alt 'I 41/a m d'
_space_group_IT_number 141
_cell_length_a 5.5998
_cell_length_b 5.5998
_cell_length_c 13.8933
_cell_angle_alpha 90.00
_cell_angle_beta 90.00
_cell_angle_gamma 90.00
loop_
_space_group_symop_operation_xyz
'x,y,z'
'-x,-y,-z'
'-y+1/4,x+3/4,z+1/4'
'y+1/4,-x+3/4,-z+1/4'
'-x+1/2,-y,z+1/2'
'x+1/2,y,-z+1/2'
'y+1/4,-x+1/4,z+3/4'
'-y+1/4,x+1/4,-z+3/4'
'x,-y,-z'
'-x,y,z'
'-y+1/4,-x+1/4,-z+3/4'
'y+1/4,x+1/4,z+3/4'
'-x+1/2,y,-z+1/2'
'x+1/2,-y,z+1/2'
'y+1/4,x+3/4,-z+1/4'
'-y+1/4,-x+3/4,z+1/4'
'x+1/2,y+1/2,z+1/2'
'-x+1/2,-y+1/2,-z+1/2'
'-y+3/4,x+1/4,z+3/4'
'y+3/4,-x+1/4,-z+3/4'
'-x,-y+1/2,z'
'x,y+1/2,-z'
'y+3/4,-x+3/4,z+1/4'
'-y+3/4,x+3/4,-z+1/4'
'x+1/2,-y+1/2,-z+1/2'
'-x+1/2,y+1/2,z+1/2'
'-y+3/4,-x+3/4,-z+1/4'
'y+3/4,x+3/4,z+1/4'
'-x,y+1/2,-z'
'x,-y+1/2,z'
'y+3/4,x+1/4,-z+3/4'
'-y+3/4,-x+1/4,z+3/4'
loop_
_atom_site_label
_atom_site_fract_x
_atom_site_fract_y
_atom_site_fract_z
K1 0.0000 0.2500 0.3750
Au1 0.0000 0.0000 0.0000
O1 0.0000 0.2500 0.8750
```